# 1
The following is a computed XRD peak list of Sr4Ta3O10. It was derived from a crystal structure in OQMD, relaxed with GGA-PBE, using CuKα.
Neutral-atom scattering factors, no anomalous dispersion.

Largest 10 diffraction maxima, by intensity, 10° ≤ 2θ ≤ 90°:
2theta	d/Å	intensity
31.14	2.872	100
31.39	2.850	56
55.72	1.650	40
44.98	2.015	31
22.27	3.991	19
55.25	1.663	19
64.93	1.436	17
44.25	2.047	14
18.58	4.776	12
74.43	1.275	10

```
data_Sr4Ta3O10
_chemical_formula_sum 'Sr8 Ta6 O20'
_cell_length_a 4.0307
_cell_length_b 4.0307
_cell_length_c 28.6564
_cell_angle_alpha 90.00
_cell_angle_beta 90.00
_cell_angle_gamma 90.00
_symmetry_space_group_name_H-M 'I 4/m m m'
_symmetry_Int_Tables_number 139
_symmetry_space_group_name_Hall '-I 4 2'
loop_
_atom_site_label
_atom_site_type_symbol
_atom_site_fract_x
_atom_site_fract_y
_atom_site_fract_z
Sr1 Sr 0.0000 0.0000 0.0692
Sr2 Sr 0.0000 0.0000 0.2039
Ta1 Ta 0.0000 0.0000 0.3589
Ta2 Ta 0.0000 0.0000 0.5000
O1 O 0.0000 0.0000 0.2874
O2 O 0.0000 0.0000 0.4291
O3 O 0.0000 0.5000 0.0000
O4 O 0.0000 0.5000 0.1406
```

---

# 2
The following is a computed XRD peak list of GdErAg2S4. It was derived from a crystal structure in OQMD, relaxed with GGA-PBE, using CuKα.
Neutral-atom scattering factors, no anomalous dispersion.

Largest 10 diffraction maxima, by intensity, 10° ≤ 2θ ≤ 90°:
2theta	d/Å	intensity
37.69	2.387	100
27.25	3.272	91
25.53	3.489	85
38.92	2.314	75
48.33	1.883	59
63.70	1.461	54
35.00	2.563	42
29.00	3.079	39
47.13	1.928	38
21.55	4.124	29

```
data_GdErAg2S4
_chemical_formula_sum 'Gd2 Er2 Ag4 S8'
_cell_length_a 9.2452
_cell_length_b 9.2668
_cell_length_c 4.1236
_cell_angle_alpha 90.00
_cell_angle_beta 90.00
_cell_angle_gamma 90.00
_symmetry_space_group_name_H-M 'C m m 2'
_symmetry_Int_Tables_number 35
loop_
_symmetry_equiv_pos_as_xyz
'x,y,z'
'-x,-y,z'
'-x,y,z'
'x,-y,z'
'x+1/2,y+1/2,z'
'-x+1/2,-y+1/2,z'
'-x+1/2,y+1/2,z'
'x+1/2,-y+1/2,z'
loop_
_atom_site_label
_atom_site_type_symbol
_atom_site_fract_x
_atom_site_fract_y
_atom_site_fract_z
Gd1 Gd 0.0000 0.0000 0.0000
Er1 Er 0.0000 0.5000 0.5495
Ag1 Ag 0.2500 0.2500 0.7747
S1 S 0.0000 0.3024 0.0434
S2 S 0.2032 0.0000 0.5059
```

---

# 3
The following is a computed XRD peak list of Ga2Co2Pt. It was derived from a crystal structure in OQMD, relaxed with GGA-PBE, using CuKα.
Neutral-atom scattering factors, no anomalous dispersion.

Largest 10 diffraction maxima, by intensity, 10° ≤ 2θ ≤ 90°:
2theta	d/Å	intensity
42.37	2.133	100
42.56	2.124	86
37.08	2.425	80
19.79	4.486	70
62.65	1.483	43
48.58	1.874	39
29.21	3.057	35
57.70	1.598	25
53.68	1.708	25
70.46	1.336	22

```
data_Ga2Co2Pt
_chemical_formula_sum 'Ga8 Co8 Pt4'
_cell_length_a 4.8494
_cell_length_b 4.8494
_cell_length_c 11.8144
_cell_angle_alpha 90.00
_cell_angle_beta 90.00
_cell_angle_gamma 90.00
_symmetry_space_group_name_H-M 'I 41/a m d'
_symmetry_Int_Tables_number 141
loop_
_symmetry_equiv_pos_as_xyz
'x,y,z'
'-x,-y,-z'
'-y+1/4,x+3/4,z+1/4'
'y+1/4,-x+3/4,-z+1/4'
'-x+1/2,-y,z+1/2'
'x+1/2,y,-z+1/2'
'y+1/4,-x+1/4,z+3/4'
'-y+1/4,x+1/4,-z+3/4'
'x,-y,-z'
'-x,y,z'
'-y+1/4,-x+1/4,-z+3/4'
'y+1/4,x+1/4,z+3/4'
'-x+1/2,y,-z+1/2'
'x+1/2,-y,z+1/2'
'y+1/4,x+3/4,-z+1/4'
'-y+1/4,-x+3/4,z+1/4'
'x+1/2,y+1/2,z+1/2'
'-x+1/2,-y+1/2,-z+1/2'
'-y+3/4,x+1/4,z+3/4'
'y+3/4,-x+1/4,-z+3/4'
'-x,-y+1/2,z'
'x,y+1/2,-z'
'y+3/4,-x+3/4,z+1/4'
'-y+3/4,x+3/4,-z+1/4'
'x+1/2,-y+1/2,-z+1/2'
'-x+1/2,y+1/2,z+1/2'
'-y+3/4,-x+3/4,-z+1/4'
'y+3/4,x+3/4,z+1/4'
'-x,y+1/2,-z'
'x,-y+1/2,z'
'y+3/4,x+1/4,-z+3/4'
'-y+3/4,-x+1/4,z+3/4'
loop_
_atom_site_label
_atom_site_type_symbol
_atom_site_fract_x
_atom_site_fract_y
_atom_site_fract_z
Ga1 Ga 0.0000 0.2500 0.0772
Co1 Co 0.0000 0.0000 0.5000
Pt1 Pt 0.0000 0.2500 0.8750
```